(1)
# In2WO6
Calculated powder diffraction line list, Cu Kα. Input: a structure optimized by DFT (GGA+U).
Lines closer than 0.1° are merged.

Cell and atoms:
```
data_In2WO6
_space_group_name_H-M_alt 'P 21 21 21'
_space_group_IT_number 19
_cell_length_a 5.004
_cell_length_b 9.095
_cell_length_c 10.284
_cell_angle_alpha 90.00
_cell_angle_beta 90.00
_cell_angle_gamma 90.00
loop_
_space_group_symop_operation_xyz
'x,y,z'
'-x+1/2,-y,z+1/2'
'x+1/2,-y+1/2,-z'
'-x,y+1/2,-z+1/2'
loop_
_atom_site_label
_atom_site_fract_x
_atom_site_fract_y
_atom_site_fract_z
In1 0.006 0.191 0.353
In2 0.015 0.632 0.571
W1 0.014 0.506 0.862
O1 0.186 0.844 0.551
O2 0.199 0.985 0.793
O3 0.217 0.539 0.025
O4 0.222 0.651 0.770
O5 0.224 0.149 0.557
O6 0.232 0.650 0.324
```

Peak list (8 most intense, 2θ from 5° to 70°, sorted by position)
| 2θ (°) | Rel. int. | hkl |
| --- | --- | --- |
| 26.49 | 51.5 | 1 2 0 |
| 26.72 | 63.1 | 1 1 2 |
| 27.88 | 100.0 | 1 2 1 |
| 33.17 | 52.8 | 1 1 3 |
| 34.34 | 54.0 | 0 3 2 |
| 35.89 | 27.4 | 2 0 0 |
| 50.52 | 58.2 | 2 3 2 |
| 52.11 | 25.4 | 1 2 5 |

=====

(2)
# In2WO6
Calculated powder diffraction line list, Cu Kα. Input: a structure optimized by DFT (GGA+U).
Lines closer than 0.1° are merged.

Cell and atoms:
```
data_In2WO6
_space_group_name_H-M_alt 'P 1 2/c 1'
_space_group_IT_number 13
_cell_length_a 7.504
_cell_length_b 5.194
_cell_length_c 11.882
_cell_angle_alpha 90.00
_cell_angle_beta 97.36
_cell_angle_gamma 90.00
loop_
_space_group_symop_operation_xyz
'x,y,z'
'-x,-y,-z'
'-x,y,-z+1/2'
'x,-y,z+1/2'
loop_
_atom_site_label
_atom_site_fract_x
_atom_site_fract_y
_atom_site_fract_z
In1 0.000 0.206 0.250
In2 0.268 0.264 0.896
In3 0.500 0.280 0.250
W1 0.236 0.232 0.607
O1 0.001 0.090 0.618
O2 0.165 0.395 0.471
O3 0.191 0.489 0.727
O4 0.292 0.006 0.263
O5 0.341 0.063 0.053
O6 0.471 0.412 0.626
```

Peak list (8 most intense, 2θ from 5° to 70°, sorted by position)
| 2θ (°) | Rel. int. | hkl |
| --- | --- | --- |
| 23.91 | 17.7 | 2 0 0 |
| 28.49 | 100.0 | 0 1 3 |
| 29.72 | 68.4 | 2 1 -1 |
| 31.29 | 26.0 | 2 1 1 |
| 34.54 | 22.2 | 0 2 0 |
| 36.39 | 16.3 | 2 0 -4 |
| 51.04 | 25.2 | 2 2 -4 |
| 58.95 | 14.7 | 2 3 -1 |

=====

Repeat the second record exactly.
# In2WO6
Calculated powder diffraction line list, Cu Kα. Input: a structure optimized by DFT (GGA+U).
Lines closer than 0.1° are merged.

Cell and atoms:
```
data_In2WO6
_space_group_name_H-M_alt 'P 1 2/c 1'
_space_group_IT_number 13
_cell_length_a 7.504
_cell_length_b 5.194
_cell_length_c 11.882
_cell_angle_alpha 90.00
_cell_angle_beta 97.36
_cell_angle_gamma 90.00
loop_
_space_group_symop_operation_xyz
'x,y,z'
'-x,-y,-z'
'-x,y,-z+1/2'
'x,-y,z+1/2'
loop_
_atom_site_label
_atom_site_fract_x
_atom_site_fract_y
_atom_site_fract_z
In1 0.000 0.206 0.250
In2 0.268 0.264 0.896
In3 0.500 0.280 0.250
W1 0.236 0.232 0.607
O1 0.001 0.090 0.618
O2 0.165 0.395 0.471
O3 0.191 0.489 0.727
O4 0.292 0.006 0.263
O5 0.341 0.063 0.053
O6 0.471 0.412 0.626
```

Peak list (8 most intense, 2θ from 5° to 70°, sorted by position)
| 2θ (°) | Rel. int. | hkl |
| --- | --- | --- |
| 23.91 | 17.7 | 2 0 0 |
| 28.49 | 100.0 | 0 1 3 |
| 29.72 | 68.4 | 2 1 -1 |
| 31.29 | 26.0 | 2 1 1 |
| 34.54 | 22.2 | 0 2 0 |
| 36.39 | 16.3 | 2 0 -4 |
| 51.04 | 25.2 | 2 2 -4 |
| 58.95 | 14.7 | 2 3 -1 |